Structure and simulated powder diffraction line list of Pm5MgIn8 (DFT lattice parameters and positions (GGA-PBE); Cu Kα X-rays).
Peak positions follow from Bragg's law for the DFT cell and can differ from measured ones.

Largest 8 diffraction maxima, most intense first, 2θ = 15–90°:
2θ 30.1, rel. 1000
2θ 36.5, rel. 554
2θ 35.9, rel. 374
2θ 31.0, rel. 363
2θ 36.1, rel. 290
2θ 47.7, rel. 195
2θ 60.9, rel. 142
2θ 23.7, rel. 130

Atomic structure:
a b c (Å): 8.050 8.050 8.050
angles (deg): 108.67 108.67 111.09
Sites, in units of the cell vectors:
Pm 0.000 0.000 0.000
Pm 0.105 0.248 0.631
Pm 0.526 0.895 0.142
Pm 0.617 0.474 0.369
Pm 0.752 0.383 0.858
Mg 0.250 0.750 0.500
In 0.067 0.650 0.746
In 0.215 0.474 0.105
In 0.350 0.096 0.417
In 0.369 0.110 0.895
In 0.526 0.631 0.741
In 0.679 0.933 0.583
In 0.890 0.785 0.259
In 0.904 0.321 0.254

Structure and simulated powder diffraction line list of K2MgTiF6 (DFT lattice parameters and positions (GGA-PBE); Cu Kα X-rays).
Peak positions follow from Bragg's law for the DFT cell and can differ from measured ones.

Largest 8 diffraction maxima, most intense first, 2θ = 15–90°:
2θ 43.6, rel. 1000
2θ 30.3, rel. 539
2θ 30.6, rel. 524
2θ 37.7, rel. 341
2θ 63.1, rel. 271
2θ 63.8, rel. 263
2θ 54.3, rel. 186
2θ 80.4, rel. 118

Atomic structure:
a b c (Å): 5.894 5.894 5.894
angles (deg): 59.39 59.39 59.39
Sites, in units of the cell vectors:
K 0.248 0.248 0.248
K 0.752 0.752 0.752
Mg 0.000 0.000 0.000
Ti 0.500 0.500 0.500
F 0.243 0.243 0.756
F 0.243 0.756 0.243
F 0.244 0.757 0.757
F 0.756 0.243 0.243
F 0.757 0.244 0.757
F 0.757 0.757 0.244

Structure and simulated powder diffraction line list of LiGaHgBr4 (DFT lattice parameters and positions (GGA-PBE); Cu Kα X-rays).
Peak positions follow from Bragg's law for the DFT cell and can differ from measured ones.

Largest 8 diffraction maxima, most intense first, 2θ = 15–90°:
2θ 24.9, rel. 1000
2θ 26.4, rel. 992
2θ 18.1, rel. 899
2θ 18.0, rel. 872
2θ 29.2, rel. 501
2θ 29.6, rel. 487
2θ 23.3, rel. 432
2θ 44.7, rel. 431

Atomic structure:
a b c (Å): 8.093 8.093 11.115
angles (deg): 115.99 115.99 75.00
Sites, in units of the cell vectors:
Li 0.173 0.173 0.016
Li 0.827 0.827 0.984
Ga 0.167 0.167 0.304
Ga 0.833 0.833 0.696
Hg 0.424 0.424 0.081
Hg 0.576 0.576 0.919
Br 0.004 0.627 0.821
Br 0.040 0.040 0.746
Br 0.316 0.316 0.549
Br 0.373 0.996 0.179
Br 0.627 0.004 0.821
Br 0.684 0.684 0.451
Br 0.960 0.960 0.254
Br 0.996 0.373 0.179

Structure and simulated powder diffraction line list of Y4FeOs (DFT lattice parameters and positions (GGA-PBE); Cu Kα X-rays).
Peak positions follow from Bragg's law for the DFT cell and can differ from measured ones.

Largest 8 diffraction maxima, most intense first, 2θ = 15–90°:
2θ 35.6, rel. 1000
2θ 30.2, rel. 347
2θ 57.2, rel. 331
2θ 37.2, rel. 323
2θ 62.8, rel. 255
2θ 53.6, rel. 138
2θ 75.3, rel. 118
2θ 74.3, rel. 113

Atomic structure:
a b c (Å): 5.921 5.921 5.921
angles (deg): 60.00 60.00 60.00
Sites, in units of the cell vectors:
Y 0.376 0.376 0.376
Y 0.376 0.376 0.873
Y 0.376 0.873 0.376
Y 0.873 0.376 0.376
Fe 0.000 0.000 0.000
Os 0.750 0.750 0.750

Structure and simulated powder diffraction line list of MgMnGa2Pt4 (DFT lattice parameters and positions (GGA-PBE); Cu Kα X-rays).
Peak positions follow from Bragg's law for the DFT cell and can differ from measured ones.

Largest 8 diffraction maxima, most intense first, 2θ = 15–90°:
2θ 40.9, rel. 1000
2θ 40.8, rel. 991
2θ 28.6, rel. 742
2θ 74.4, rel. 508
2θ 59.1, rel. 333
2θ 50.6, rel. 162
2θ 74.1, rel. 161
2θ 67.1, rel. 144

Atomic structure:
a b c (Å): 7.674 7.674 7.674
angles (deg): 33.42 33.42 33.42
Sites, in units of the cell vectors:
Mg 0.000 0.000 0.000
Mn 0.500 0.500 0.500
Ga 0.251 0.251 0.251
Ga 0.749 0.749 0.749
Pt 0.128 0.128 0.128
Pt 0.378 0.378 0.378
Pt 0.622 0.622 0.622
Pt 0.872 0.872 0.872

Structure and simulated powder diffraction line list of GaS6Br (DFT lattice parameters and positions (GGA-PBE); Cu Kα X-rays).
Peak positions follow from Bragg's law for the DFT cell and can differ from measured ones.

Largest 8 diffraction maxima, most intense first, 2θ = 15–90°:
2θ 25.4, rel. 1000
2θ 29.3, rel. 746
2θ 21.7, rel. 734
2θ 29.7, rel. 725
2θ 31.7, rel. 629
2θ 30.1, rel. 566
2θ 28.8, rel. 557
2θ 26.6, rel. 464

Atomic structure:
a b c (Å): 3.465 3.924 16.442
angles (deg): 83.94 88.25 63.87
Sites, in units of the cell vectors:
Ga 0.000 0.000 0.000
S 0.317 0.422 0.786
S 0.467 0.148 0.690
S 0.498 0.032 0.895
S 0.537 0.994 0.381
S 0.690 0.714 0.288
S 0.701 0.580 0.065
Br 0.705 0.617 0.504